Structure and computed PXRD pattern of Na2PuVF8 (the PBE+U geometry in Alexandria; copper Kα).
Peak positions follow from Bragg's law for the DFT cell and can differ from measured ones.

Main lines, in order of rising 2θ (5° ≤ 2θ ≤ 70°):
| 2θ (°) | I_rel | hkl |
| --- | --- | --- |
| 11.92 | 70 | 0 1 0 |
| 16.08 | 100 | 0 0 1 |
| 20.07 | 55 | 0 1 1 |
| 22.89 | 36 | 1 0 0 |
| 23.97 | 34 | 0 2 0 |
| 25.88 | 29 | 1 1 0 |
| 27.31 | 47 | 1 0 -1 |
| 28.88 | 44 | 1 0 1 |
| 29.00 | 80 | 0 2 1 |
| 40.82 | 28 | 0 2 2 |
| 46.26 | 46 | 1 2 -2 |
| 48.28 | 37 | 1 2 2 |

```
Na2PuVF8
1.0
3.891 0.000 0.000
0.000 7.425 0.000
-0.322 0.000 5.511
Na Pu V F
2 1 1 8
direct
0.000 0.227 0.000
0.000 0.773 0.000
0.500 0.500 0.500
0.500 0.000 0.500
0.002 0.500 0.745
0.056 0.000 0.287
0.462 0.227 0.724
0.462 0.773 0.724
0.538 0.227 0.276
0.538 0.773 0.276
0.944 0.000 0.713
0.998 0.500 0.255
```